No. 1
This entry pairs a crystal structure of SrDyPdRh with its simulated X-ray powder pattern. Radiation: Cu Kα. Structure: DFT lattice parameters and positions (GGA-PBE).

Most intense lines, 10° ≤ 2θ ≤ 80°, by intensity:
2θ/deg  I (rel.)
35.74  100
64.21  36
51.44  18
75.71  11
21.66  6
42.18  3
56.44  1
68.63  1
79.85  1
25.06  1

Structural model:
a = 7.106 Å, b = 7.106 Å, c = 7.106 Å
α = 90.00°, β = 90.00°, γ = 90.00°
Element x y z (fractional)
Sr1 0.000 0.000 0.000
Sr2 0.000 0.500 0.500
Sr3 0.500 0.000 0.500
Sr4 0.500 0.500 0.000
Dy1 0.000 0.000 0.500
Dy2 0.000 0.500 0.000
Dy3 0.500 0.000 0.000
Dy4 0.500 0.500 0.500
Pd1 0.250 0.250 0.250
Pd2 0.250 0.750 0.750
Pd3 0.750 0.250 0.750
Pd4 0.750 0.750 0.250
Rh1 0.250 0.250 0.750
Rh2 0.250 0.750 0.250
Rh3 0.750 0.250 0.250
Rh4 0.750 0.750 0.750



No. 2
This entry pairs a crystal structure of DyPdRu with its simulated X-ray powder pattern. Radiation: Cu Kα. Structure: DFT lattice parameters and positions (GGA-PBE).

Most intense lines, 10° ≤ 2θ ≤ 80°, by intensity:
2θ/deg  I (rel.)
39.12  100
36.37  82
39.28  52
34.55  35
38.17  27
32.44  25
55.93  20
53.00  18
71.09  17
78.70  17

Structural model:
a = 9.907 Å, b = 5.588 Å, c = 4.588 Å
α = 90.00°, β = 117.42°, γ = 90.00°
Element x y z (fractional)
Dy1 0.129 0.000 0.379
Dy2 0.371 0.500 0.621
Dy3 0.629 0.500 0.379
Dy4 0.871 0.000 0.621
Pd1 0.250 0.250 0.000
Pd2 0.250 0.750 0.000
Pd3 0.750 0.250 0.000
Pd4 0.750 0.750 0.000
Ru1 0.050 0.500 0.300
Ru2 0.450 0.000 0.700
Ru3 0.550 0.000 0.300
Ru4 0.950 0.500 0.700



No. 3
This entry pairs a crystal structure of Dy7Pd2Ru2 with its simulated X-ray powder pattern. Radiation: Cu Kα. Structure: DFT lattice parameters and positions (GGA-PBE).

Most intense lines, 10° ≤ 2θ ≤ 80°, by intensity:
2θ/deg  I (rel.)
38.77  100
33.80  60
28.24  56
29.67  42
38.34  40
26.12  36
43.18  23
46.14  21
31.09  19
58.41  18

Structural model:
a = 6.604 Å, b = 6.604 Å, c = 6.849 Å
α = 90.00°, β = 90.00°, γ = 106.87°
Element x y z (fractional)
Dy1 0.000 0.000 0.000
Dy2 0.000 0.500 0.263
Dy3 0.000 0.500 0.737
Dy4 0.500 0.000 0.263
Dy5 0.500 0.000 0.737
Dy6 0.500 0.500 0.254
Dy7 0.500 0.500 0.746
Pd1 0.188 0.188 0.500
Pd2 0.812 0.812 0.500
Ru1 0.290 0.710 0.000
Ru2 0.710 0.290 0.000



No. 4
This entry pairs a crystal structure of Dy8PdRu2 with its simulated X-ray powder pattern. Radiation: Cu Kα. Structure: DFT lattice parameters and positions (GGA-PBE).

Most intense lines, 10° ≤ 2θ ≤ 80°, by intensity:
2θ/deg  I (rel.)
32.64  100
33.34  90
39.40  79
31.54  78
30.84  77
31.14  68
36.46  65
35.09  50
35.83  42
40.34  35

Structural model:
a = 7.556 Å, b = 7.556 Å, c = 5.905 Å
α = 100.13°, β = 100.13°, γ = 112.82°
Element x y z (fractional)
Dy1 0.000 0.000 0.000
Dy2 0.032 0.294 0.594
Dy3 0.149 0.589 0.192
Dy4 0.294 0.032 0.594
Dy5 0.448 0.711 0.786
Dy6 0.589 0.149 0.192
Dy7 0.711 0.448 0.786
Dy8 0.736 0.736 0.382
Pd1 0.368 0.368 0.330
Ru1 0.062 0.682 0.692
Ru2 0.682 0.062 0.692



No. 5
This entry pairs a crystal structure of DySnPdRu with its simulated X-ray powder pattern. Radiation: Cu Kα. Structure: DFT lattice parameters and positions (GGA-PBE).

Most intense lines, 10° ≤ 2θ ≤ 80°, by intensity:
2θ/deg  I (rel.)
38.03  100
68.71  35
54.87  17
26.64  2
23.02  2
62.01  1
47.03  1
44.92  1

Structural model:
a = 6.693 Å, b = 6.693 Å, c = 6.693 Å
α = 90.00°, β = 90.00°, γ = 90.00°
Element x y z (fractional)
Dy1 0.000 0.000 0.000
Dy2 0.000 0.500 0.500
Dy3 0.500 0.000 0.500
Dy4 0.500 0.500 0.000
Sn1 0.000 0.000 0.500
Sn2 0.000 0.500 0.000
Sn3 0.500 0.000 0.000
Sn4 0.500 0.500 0.500
Pd1 0.250 0.250 0.750
Pd2 0.250 0.750 0.250
Pd3 0.750 0.250 0.250
Pd4 0.750 0.750 0.750
Ru1 0.250 0.250 0.250
Ru2 0.250 0.750 0.750
Ru3 0.750 0.250 0.750
Ru4 0.750 0.750 0.250



No. 6
This entry pairs a crystal structure of DyPd3S4 with its simulated X-ray powder pattern. Radiation: Cu Kα. Structure: DFT lattice parameters and positions (GGA-PBE).

Most intense lines, 10° ≤ 2θ ≤ 80°, by intensity:
2θ/deg  I (rel.)
32.75  100
29.83  84
51.01  57
54.82  29
49.03  21
63.66  19
78.15  16
76.60  16
37.99  15
46.99  14

Structural model:
a = 6.699 Å, b = 6.699 Å, c = 6.699 Å
α = 90.00°, β = 90.00°, γ = 90.00°
Element x y z (fractional)
Dy1 0.000 0.000 0.000
Dy2 0.500 0.500 0.500
Pd1 0.000 0.250 0.500
Pd2 0.000 0.750 0.500
Pd3 0.250 0.500 0.000
Pd4 0.500 0.000 0.250
Pd5 0.500 0.000 0.750
Pd6 0.750 0.500 0.000
S1 0.250 0.250 0.250
S2 0.250 0.250 0.750
S3 0.250 0.750 0.250
S4 0.250 0.750 0.750
S5 0.750 0.250 0.250
S6 0.750 0.250 0.750
S7 0.750 0.750 0.250
S8 0.750 0.750 0.750



No. 7
This entry pairs a crystal structure of Dy5Sb2Pd with its simulated X-ray powder pattern. Radiation: Cu Kα. Structure: DFT lattice parameters and positions (GGA-PBE).

Most intense lines, 10° ≤ 2θ ≤ 80°, by intensity:
2θ/deg  I (rel.)
33.30  100
30.67  67
24.28  36
30.96  29
35.53  28
47.63  25
39.05  24
50.46  23
56.22  22
39.50  20

Structural model:
a = 6.706 Å, b = 6.706 Å, c = 13.838 Å
α = 90.00°, β = 90.00°, γ = 128.47°
Element x y z (fractional)
Dy1 0.064 0.936 0.606
Dy2 0.064 0.936 0.894
Dy3 0.361 0.639 0.250
Dy4 0.376 0.624 0.566
Dy5 0.376 0.624 0.934
Dy6 0.624 0.376 0.066
Dy7 0.624 0.376 0.434
Dy8 0.639 0.361 0.750
Dy9 0.936 0.064 0.106
Dy10 0.936 0.064 0.394
Sb1 0.193 0.807 0.094
Sb2 0.193 0.807 0.406
Sb3 0.807 0.193 0.594
Sb4 0.807 0.193 0.906
Pd1 0.224 0.776 0.750
Pd2 0.776 0.224 0.250



No. 8
This entry pairs a crystal structure of Dy2SbPd6 with its simulated X-ray powder pattern. Radiation: Cu Kα. Structure: DFT lattice parameters and positions (GGA-PBE).

Most intense lines, 10° ≤ 2θ ≤ 80°, by intensity:
2θ/deg  I (rel.)
39.03  100
35.06  39
34.49  28
47.45  22
64.48  21
30.01  14
68.51  14
35.88  14
78.02  12
57.73  11

Structural model:
a = 5.781 Å, b = 5.781 Å, c = 5.955 Å
α = 90.00°, β = 90.00°, γ = 120.00°
Element x y z (fractional)
Dy1 0.333 0.667 0.180
Dy2 0.667 0.333 0.820
Sb1 0.000 0.000 0.000
Pd1 0.177 0.354 0.681
Pd2 0.177 0.823 0.681
Pd3 0.354 0.177 0.319
Pd4 0.646 0.823 0.681
Pd5 0.823 0.177 0.319
Pd6 0.823 0.646 0.319



No. 9
This entry pairs a crystal structure of Dy4Sb2Pd with its simulated X-ray powder pattern. Radiation: Cu Kα. Structure: DFT lattice parameters and positions (GGA-PBE).

Most intense lines, 10° ≤ 2θ ≤ 80°, by intensity:
2θ/deg  I (rel.)
27.28  100
35.82  62
35.42  57
42.77  54
27.91  50
42.26  31
27.53  27
46.24  20
51.40  18
69.69  16

Structural model:
a = 15.477 Å, b = 4.278 Å, c = 7.298 Å
α = 90.00°, β = 116.88°, γ = 90.00°
Element x y z (fractional)
Dy1 0.115 0.000 0.434
Dy2 0.118 0.500 0.977
Dy3 0.382 0.000 0.023
Dy4 0.385 0.500 0.566
Dy5 0.615 0.500 0.434
Dy6 0.618 0.000 0.977
Dy7 0.882 0.500 0.023
Dy8 0.885 0.000 0.566
Sb1 0.236 0.500 0.735
Sb2 0.264 0.000 0.265
Sb3 0.736 0.000 0.735
Sb4 0.764 0.500 0.265
Pd1 0.000 0.000 0.000
Pd2 0.500 0.500 0.000



No. 10
This entry pairs a crystal structure of DySc5Pd6 with its simulated X-ray powder pattern. Radiation: Cu Kα. Structure: DFT lattice parameters and positions (GGA-PBE).

Most intense lines, 10° ≤ 2θ ≤ 80°, by intensity:
2θ/deg  I (rel.)
38.25  100
37.63  52
68.33  34
54.28  17
69.54  16
26.37  9
56.12  8
23.86  5
27.20  4
29.74  4

Structural model:
a = 4.781 Å, b = 6.556 Å, c = 7.555 Å
α = 90.00°, β = 108.36°, γ = 90.00°
Element x y z (fractional)
Dy1 0.000 0.000 0.000
Sc1 0.000 0.500 0.000
Sc2 0.332 0.000 0.663
Sc3 0.334 0.500 0.668
Sc4 0.666 0.500 0.332
Sc5 0.668 0.000 0.337
Pd1 0.171 0.255 0.344
Pd2 0.171 0.745 0.344
Pd3 0.500 0.261 0.000
Pd4 0.500 0.739 0.000
Pd5 0.829 0.255 0.656
Pd6 0.829 0.745 0.656



No. 11
This entry pairs a crystal structure of DyScPd4 with its simulated X-ray powder pattern. Radiation: Cu Kα. Structure: DFT lattice parameters and positions (GGA-PBE).

Most intense lines, 10° ≤ 2θ ≤ 80°, by intensity:
2θ/deg  I (rel.)
37.58  100
38.65  75
45.48  67
36.66  45
41.78  32
34.99  30
43.68  23
41.89  22
30.63  17
64.91  17

Structural model:
a = 6.697 Å, b = 3.988 Å, c = 16.722 Å
α = 90.00°, β = 90.00°, γ = 90.00°
Element x y z (fractional)
Dy1 0.176 0.250 0.211
Dy2 0.324 0.750 0.711
Dy3 0.676 0.250 0.289
Dy4 0.824 0.750 0.789
Sc1 0.191 0.750 0.475
Sc2 0.309 0.250 0.975
Sc3 0.691 0.750 0.025
Sc4 0.809 0.250 0.525
Pd1 0.041 0.750 0.940
Pd2 0.057 0.250 0.375
Pd3 0.144 0.250 0.823
Pd4 0.234 0.250 0.589
Pd5 0.266 0.750 0.089
Pd6 0.356 0.750 0.323
Pd7 0.443 0.750 0.875
Pd8 0.459 0.250 0.440
Pd9 0.541 0.750 0.560
Pd10 0.557 0.250 0.125
Pd11 0.644 0.250 0.677
Pd12 0.734 0.250 0.911
Pd13 0.766 0.750 0.411
Pd14 0.856 0.750 0.177
Pd15 0.943 0.750 0.625
Pd16 0.959 0.250 0.060



No. 12
This entry pairs a crystal structure of DySc3Pd4 with its simulated X-ray powder pattern. Radiation: Cu Kα. Structure: DFT lattice parameters and positions (GGA-PBE).

Most intense lines, 10° ≤ 2θ ≤ 80°, by intensity:
2θ/deg  I (rel.)
38.14  100
37.40  98
54.49  32
68.45  32
68.93  19
66.97  14
28.80  12
23.01  12
34.32  10
26.46  9

Structural model:
a = 8.385 Å, b = 8.385 Å, c = 8.385 Å
α = 32.69°, β = 32.69°, γ = 32.69°
Element x y z (fractional)
Dy1 0.000 0.000 0.000
Sc1 0.247 0.247 0.247
Sc2 0.500 0.500 0.500
Sc3 0.753 0.753 0.753
Pd1 0.128 0.128 0.128
Pd2 0.384 0.384 0.384
Pd3 0.616 0.616 0.616
Pd4 0.872 0.872 0.872



No. 13
This entry pairs a crystal structure of Dy3Si2Pd2 with its simulated X-ray powder pattern. Radiation: Cu Kα. Structure: DFT lattice parameters and positions (GGA-PBE).

Most intense lines, 10° ≤ 2θ ≤ 80°, by intensity:
2θ/deg  I (rel.)
39.65  100
34.72  77
37.96  71
33.83  59
34.26  53
35.98  50
23.73  44
33.53  38
41.80  38
26.61  36

Structural model:
a = 5.687 Å, b = 7.824 Å, c = 12.966 Å
α = 90.00°, β = 90.00°, γ = 90.00°
Element x y z (fractional)
Dy1 0.126 0.097 0.106
Dy2 0.126 0.097 0.394
Dy3 0.126 0.403 0.606
Dy4 0.126 0.403 0.894
Dy5 0.363 0.735 0.250
Dy6 0.363 0.765 0.750
Dy7 0.637 0.235 0.250
Dy8 0.637 0.265 0.750
Dy9 0.874 0.597 0.106
Dy10 0.874 0.597 0.394
Dy11 0.874 0.903 0.606
Dy12 0.874 0.903 0.894
Si1 0.147 0.117 0.750
Si2 0.147 0.383 0.250
Si3 0.314 0.750 0.000
Si4 0.314 0.750 0.500
Si5 0.686 0.250 0.000
Si6 0.686 0.250 0.500
Si7 0.853 0.617 0.750
Si8 0.853 0.883 0.250
Pd1 0.383 0.051 0.591
Pd2 0.383 0.051 0.909
Pd3 0.383 0.449 0.091
Pd4 0.383 0.449 0.409
Pd5 0.617 0.551 0.591
Pd6 0.617 0.551 0.909
Pd7 0.617 0.949 0.091
Pd8 0.617 0.949 0.409